No. 1
Starting from DFT lattice parameters and positions (GGA+U), the XRD peak list of AlFeO3 was simulated for λ = 1.5418 Å (Cu Kα).
Lines closer than 0.1° are merged.

Largest 6 diffraction maxima, by angle, 10 to 90 degrees two-theta:
2θ/deg  I_rel
28.1  18.9
35.3  100.0
49.7  16.9
51.8  22.1
58.7  18.4
65.5  27.6

a = 5.121 Å, b = 7.340 Å, c = 4.868 Å
α = 90.00°, β = 90.00°, γ = 90.00°
Sites, in units of the cell vectors:
1 Al 0.000 0.000 0.000
2 Al 0.000 0.500 0.000
3 Al 0.500 0.000 0.500
4 Al 0.500 0.500 0.500
5 Fe 0.063 0.250 0.476
6 Fe 0.437 0.750 0.976
7 Fe 0.563 0.250 0.024
8 Fe 0.937 0.750 0.524
9 O 0.063 0.750 0.138
10 O 0.194 0.572 0.690
11 O 0.194 0.928 0.690
12 O 0.306 0.072 0.190
13 O 0.306 0.428 0.190
14 O 0.437 0.250 0.638
15 O 0.563 0.750 0.362
16 O 0.694 0.572 0.810
17 O 0.694 0.928 0.810
18 O 0.806 0.072 0.310
19 O 0.806 0.428 0.310
20 O 0.937 0.250 0.862

---

No. 2
Starting from DFT lattice parameters and positions (GGA+U), the XRD peak list of AlFe2O4 was simulated for λ = 1.5418 Å (Cu Kα).
Lines closer than 0.1° are merged.

Largest 6 diffraction maxima, by angle, 10 to 90 degrees two-theta:
2θ/deg  I_rel
18.7  46.8
30.7  63.3
37.9  100.0
38.8  75.7
46.7  31.3
60.6  43.9

a = 6.441 Å, b = 6.441 Å, c = 6.441 Å
α = 131.18°, β = 131.18°, γ = 71.52°
Sites, in units of the cell vectors:
1 Al 0.375 0.125 0.250
2 Al 0.625 0.875 0.750
3 Fe 0.000 0.000 0.500
4 Fe 0.000 0.500 0.000
5 Fe 0.000 0.500 0.500
6 Fe 0.500 0.500 0.000
7 O 0.047 0.906 0.771
8 O 0.224 0.453 0.359
9 O 0.365 0.724 0.271
10 O 0.406 0.135 0.859
11 O 0.594 0.865 0.141
12 O 0.635 0.276 0.729
13 O 0.776 0.547 0.641
14 O 0.953 0.094 0.229

---

No. 3
Starting from DFT lattice parameters and positions (GGA+U), the XRD peak list of Al4Fe3O12 was simulated for λ = 1.5418 Å (Cu Kα).
Lines closer than 0.1° are merged.

Largest 6 diffraction maxima, by angle, 10 to 90 degrees two-theta:
2θ/deg  I_rel
18.8  44.0
21.7  34.8
30.9  91.9
36.4  100.0
36.5  60.7
64.4  40.9

a = 5.765 Å, b = 5.784 Å, c = 14.195 Å
α = 89.97°, β = 89.96°, γ = 60.11°
Sites, in units of the cell vectors:
1 Al 0.000 0.000 0.000
2 Al 0.001 0.503 0.999
3 Al 0.167 0.666 0.326
4 Al 0.334 0.333 0.660
5 Al 0.503 0.501 0.494
6 Al 0.505 0.000 0.000
7 Al 0.676 0.666 0.326
8 Al 0.837 0.333 0.660
9 Fe 0.167 0.174 0.453
10 Fe 0.169 0.170 0.210
11 Fe 0.170 0.164 0.833
12 Fe 0.502 0.501 0.116
13 Fe 0.832 0.841 0.790
14 Fe 0.841 0.825 0.533
15 O 0.012 0.481 0.738
16 O 0.034 0.973 0.252
17 O 0.153 0.198 0.587
18 O 0.160 0.671 0.061
19 O 0.168 0.169 0.073
20 O 0.200 0.629 0.575
21 O 0.311 0.309 0.920
22 O 0.312 0.881 0.920
23 O 0.328 0.375 0.414
24 O 0.352 0.804 0.411
25 O 0.476 0.049 0.747
26 O 0.485 0.540 0.252
27 O 0.502 0.973 0.252
28 O 0.511 0.483 0.723
29 O 0.659 0.187 0.578
30 O 0.673 0.158 0.063
31 O 0.674 0.672 0.061
32 O 0.676 0.629 0.575
33 O 0.804 0.376 0.414
34 O 0.836 0.834 0.925
35 O 0.848 0.812 0.400
36 O 0.885 0.310 0.920
37 O 0.979 0.049 0.748
38 O 0.998 0.514 0.258

---

No. 4
Starting from DFT lattice parameters and positions (GGA+U), the XRD peak list of AlFeO3 was simulated for λ = 1.5418 Å (Cu Kα).
Lines closer than 0.1° are merged.

Largest 6 diffraction maxima, by angle, 10 to 90 degrees two-theta:
2θ/deg  I_rel
25.7  23.9
35.4  100.0
36.4  20.7
52.7  22.9
64.8  24.2
65.3  29.1

a = 4.936 Å, b = 7.439 Å, c = 4.886 Å
α = 90.00°, β = 90.00°, γ = 90.00°
Sites, in units of the cell vectors:
1 Al 0.035 0.250 0.006
2 Al 0.465 0.750 0.506
3 Al 0.535 0.250 0.494
4 Al 0.965 0.750 0.994
5 Fe 0.000 0.000 0.500
6 Fe 0.000 0.500 0.500
7 Fe 0.500 0.000 0.000
8 Fe 0.500 0.500 0.000
9 O 0.107 0.750 0.642
10 O 0.171 0.578 0.164
11 O 0.171 0.922 0.164
12 O 0.329 0.078 0.664
13 O 0.329 0.422 0.664
14 O 0.393 0.250 0.142
15 O 0.607 0.750 0.858
16 O 0.671 0.578 0.336
17 O 0.671 0.922 0.336
18 O 0.829 0.078 0.836
19 O 0.829 0.422 0.836
20 O 0.893 0.250 0.358

---

No. 5
Starting from DFT lattice parameters and positions (GGA+U), the XRD peak list of Al4Fe3O12 was simulated for λ = 1.5418 Å (Cu Kα).
Lines closer than 0.1° are merged.

Largest 6 diffraction maxima, by angle, 10 to 90 degrees two-theta:
2θ/deg  I_rel
18.9  57.3
19.2  100.0
31.0  42.9
35.9  75.4
36.1  59.8
43.9  82.0

a = 5.694 Å, b = 5.694 Å, c = 14.099 Å
α = 90.92°, β = 90.92°, γ = 62.41°
Sites, in units of the cell vectors:
1 Al 0.000 0.000 0.000
2 Al 0.002 0.002 0.380
3 Al 0.020 0.020 0.757
4 Al 0.172 0.172 0.208
5 Al 0.328 0.328 0.677
6 Al 0.348 0.348 0.418
7 Al 0.675 0.675 0.717
8 Al 0.678 0.678 0.097
9 Fe 0.016 0.505 0.887
10 Fe 0.174 0.674 0.211
11 Fe 0.342 0.837 0.548
12 Fe 0.505 0.016 0.887
13 Fe 0.674 0.174 0.211
14 Fe 0.837 0.342 0.548
15 O 0.009 0.498 0.143
16 O 0.012 0.012 0.128
17 O 0.019 0.019 0.625
18 O 0.163 0.670 0.958
19 O 0.166 0.166 0.954
20 O 0.168 0.168 0.458
21 O 0.182 0.691 0.456
22 O 0.288 0.865 0.289
23 O 0.330 0.330 0.291
24 O 0.332 0.332 0.803
25 O 0.365 0.850 0.793
26 O 0.498 0.009 0.143
27 O 0.500 0.988 0.635
28 O 0.506 0.506 0.141
29 O 0.507 0.507 0.638
30 O 0.659 0.659 0.483
31 O 0.670 0.163 0.958
32 O 0.691 0.182 0.456
33 O 0.692 0.692 0.968
34 O 0.840 0.840 0.792
35 O 0.850 0.365 0.793
36 O 0.856 0.856 0.290
37 O 0.865 0.288 0.289
38 O 0.988 0.500 0.635

---

No. 6
Starting from DFT lattice parameters and positions (GGA+U), the XRD peak list of AlFePO5 was simulated for λ = 1.5418 Å (Cu Kα).
Lines closer than 0.1° are merged.

Largest 6 diffraction maxima, by angle, 10 to 90 degrees two-theta:
2θ/deg  I_rel
12.4  100.0
20.7  60.5
27.5  42.4
29.0  61.7
33.6  42.6
36.0  42.3

a = 7.228 Å, b = 10.647 Å, c = 5.560 Å
α = 90.00°, β = 98.16°, γ = 90.00°
Sites, in units of the cell vectors:
1 Al 0.142 0.174 0.444
2 Al 0.142 0.326 0.944
3 Al 0.858 0.674 0.056
4 Al 0.858 0.826 0.556
5 Fe 0.483 0.144 0.890
6 Fe 0.483 0.356 0.390
7 Fe 0.517 0.644 0.610
8 Fe 0.517 0.856 0.110
9 P 0.277 0.597 0.070
10 P 0.277 0.903 0.570
11 P 0.723 0.097 0.430
12 P 0.723 0.403 0.930
13 O 0.104 0.674 0.112
14 O 0.104 0.826 0.612
15 O 0.217 0.017 0.404
16 O 0.217 0.483 0.904
17 O 0.231 0.224 0.741
18 O 0.231 0.276 0.241
19 O 0.379 0.548 0.318
20 O 0.379 0.952 0.818
21 O 0.410 0.681 0.943
22 O 0.410 0.819 0.443
23 O 0.590 0.181 0.557
24 O 0.590 0.319 0.057
25 O 0.621 0.048 0.182
26 O 0.621 0.452 0.682
27 O 0.769 0.724 0.759
28 O 0.769 0.776 0.259
29 O 0.783 0.517 0.096
30 O 0.783 0.983 0.596
31 O 0.896 0.174 0.388
32 O 0.896 0.326 0.888

---

No. 7
Starting from DFT lattice parameters and positions (GGA+U), the XRD peak list of Al4Fe13Si2Sb2O28 was simulated for λ = 1.5418 Å (Cu Kα).
Lines closer than 0.1° are merged.

Largest 6 diffraction maxima, by angle, 10 to 90 degrees two-theta:
2θ/deg  I_rel
30.1  100.0
31.8  71.6
32.4  45.6
34.3  86.3
36.1  45.0
57.0  50.8

a = 11.817 Å, b = 11.817 Å, c = 9.055 Å
α = 92.44°, β = 92.44°, γ = 152.72°
Sites, in units of the cell vectors:
1 Al 0.019 0.450 0.178
2 Al 0.450 0.019 0.178
3 Al 0.550 0.981 0.822
4 Al 0.981 0.550 0.822
5 Fe 0.074 0.926 0.500
6 Fe 0.135 0.426 0.856
7 Fe 0.145 0.286 0.150
8 Fe 0.213 0.787 0.500
9 Fe 0.286 0.145 0.150
10 Fe 0.426 0.135 0.856
11 Fe 0.500 0.500 0.500
12 Fe 0.574 0.865 0.144
13 Fe 0.714 0.855 0.850
14 Fe 0.787 0.213 0.500
15 Fe 0.855 0.714 0.850
16 Fe 0.865 0.574 0.144
17 Fe 0.926 0.074 0.500
18 Si 0.266 0.266 0.807
19 Si 0.734 0.734 0.193
20 Sb 0.357 0.643 0.500
21 Sb 0.643 0.357 0.500
22 O 0.085 0.379 0.623
23 O 0.093 0.213 0.875
24 O 0.103 0.518 0.382
25 O 0.141 0.688 0.142
26 O 0.177 0.480 0.096
27 O 0.197 0.197 0.622
28 O 0.213 0.093 0.875
29 O 0.223 0.380 0.386
30 O 0.312 0.859 0.858
31 O 0.379 0.085 0.623
32 O 0.380 0.223 0.386
33 O 0.437 0.437 0.147
34 O 0.480 0.177 0.096
35 O 0.482 0.897 0.618
36 O 0.518 0.103 0.382
37 O 0.520 0.823 0.904
38 O 0.563 0.563 0.853
39 O 0.620 0.777 0.614
40 O 0.621 0.915 0.377
41 O 0.688 0.141 0.142
42 O 0.777 0.620 0.614
43 O 0.787 0.907 0.125
44 O 0.803 0.803 0.378
45 O 0.823 0.520 0.904
46 O 0.859 0.312 0.858
47 O 0.897 0.482 0.618
48 O 0.907 0.787 0.125
49 O 0.915 0.621 0.377

---

No. 8
Starting from DFT lattice parameters and positions (GGA+U), the XRD peak list of Al4FeSi2O12 was simulated for λ = 1.5418 Å (Cu Kα).
Lines closer than 0.1° are merged.

Largest 6 diffraction maxima, by angle, 10 to 90 degrees two-theta:
2θ/deg  I_rel
12.4  80.6
29.6  99.6
32.8  88.9
37.4  87.3
37.8  43.4
66.7  100.0

a = 9.373 Å, b = 9.373 Å, c = 5.641 Å
α = 90.00°, β = 90.00°, γ = 49.67°
Sites, in units of the cell vectors:
1 Al 0.144 0.684 0.750
2 Al 0.316 0.856 0.750
3 Al 0.327 0.327 0.000
4 Al 0.327 0.327 0.500
5 Al 0.673 0.673 0.000
6 Al 0.673 0.673 0.500
7 Al 0.684 0.144 0.250
8 Al 0.856 0.316 0.250
9 Fe 0.376 0.624 0.250
10 Fe 0.624 0.376 0.750
11 Si 0.034 0.304 0.750
12 Si 0.304 0.034 0.250
13 Si 0.696 0.966 0.750
14 Si 0.966 0.696 0.250
15 O 0.097 0.097 0.250
16 O 0.097 0.097 0.750
17 O 0.097 0.581 0.014
18 O 0.097 0.581 0.486
19 O 0.226 0.281 0.750
20 O 0.255 0.745 0.535
21 O 0.255 0.745 0.965
22 O 0.281 0.226 0.250
23 O 0.384 0.423 0.750
24 O 0.419 0.903 0.014
25 O 0.419 0.903 0.486
26 O 0.423 0.384 0.250
27 O 0.577 0.616 0.750
28 O 0.581 0.097 0.514
29 O 0.581 0.097 0.986
30 O 0.616 0.577 0.250
31 O 0.719 0.774 0.750
32 O 0.745 0.255 0.035
33 O 0.745 0.255 0.465
34 O 0.774 0.719 0.250
35 O 0.903 0.419 0.514
36 O 0.903 0.419 0.986
37 O 0.903 0.903 0.250
38 O 0.903 0.903 0.750

---

Question: Which formula does entry 4 have?
Answer: AlFeO3